(1)
This entry pairs a crystal structure of TbTm2Os with its simulated powder XRD pattern. Radiation: λ = 1.5418 Å (Cu Kα). Structure: DFT lattice parameters and positions (PBE).
Neutral-atom scattering factors, no anomalous dispersion.

Top 10 peaks for 10° ≤ 2θ ≤ 80°, low angle first:
2θ = 15.0°, I = 36
2θ = 31.2°, I = 59
2θ = 32.1°, I = 50
2θ = 33.7°, I = 100
2θ = 33.8°, I = 65
2θ = 36.5°, I = 30
2θ = 38.7°, I = 61
2θ = 45.9°, I = 43
2θ = 58.2°, I = 28
2θ = 61.8°, I = 26

Structural model:
a b c (Å): 3.9539 11.8137 8.8995
angles (deg): 90.00 90.00 90.00
Space group Cmcm (No. 63)
One atom of each set of equivalent atoms:
1 Tb 0.0000 0.0735 0.2500 (multiplicity 4)
2 Tm 0.0000 0.3539 0.0655 (multiplicity 8)
3 Os 0.0000 0.2570 0.7500 (multiplicity 4)

(2)
This entry pairs a crystal structure of Tc2Os with its simulated powder XRD pattern. Radiation: λ = 1.5418 Å (Cu Kα). Structure: DFT lattice parameters and positions (PBE).
Neutral-atom scattering factors, no anomalous dispersion.

Top 10 peaks for 10° ≤ 2θ ≤ 80°, low angle first:
2θ = 23.8°, I = 17
2θ = 41.0°, I = 100
2θ = 41.9°, I = 86
2θ = 48.7°, I = 3
2θ = 60.1°, I = 33
2θ = 66.2°, I = 2
2θ = 69.1°, I = 6
2θ = 74.2°, I = 2
2θ = 75.9°, I = 33
2θ = 76.5°, I = 14

Structural model:
a b c (Å): 4.3152 4.3152 2.7196
angles (deg): 90.00 90.00 120.00
Space group P6/mmm (No. 191)
One atom of each set of equivalent atoms:
1 Tc 0.3333 0.6667 0.0000 (multiplicity 2)
2 Os 0.0000 0.0000 0.5000 (multiplicity 1)

(3)
This entry pairs a crystal structure of Tc2Os with its simulated powder XRD pattern. Radiation: λ = 1.5418 Å (Cu Kα). Structure: DFT lattice parameters and positions (PBE).
Neutral-atom scattering factors, no anomalous dispersion.

Top 10 peaks for 10° ≤ 2θ ≤ 80°, low angle first:
2θ = 12.3°, I = 19
2θ = 24.8°, I = 3
2θ = 37.6°, I = 25
2θ = 39.1°, I = 6
2θ = 41.3°, I = 25
2θ = 43.1°, I = 100
2θ = 43.3°, I = 2
2θ = 57.1°, I = 14
2θ = 67.8°, I = 17
2θ = 76.6°, I = 18

Structural model:
a b c (Å): 2.7626 14.3616 4.3691
angles (deg): 90.00 90.00 90.00
Space group Cmcm (No. 63)
One atom of each set of equivalent atoms:
1 Tc 0.0000 0.0555 0.2500 (multiplicity 4)
2 Tc 0.0000 0.3882 0.2500 (multiplicity 4)
3 Os 0.0000 0.2776 0.7500 (multiplicity 4)

(4)
This entry pairs a crystal structure of Tc3Os4 with its simulated powder XRD pattern. Radiation: λ = 1.5418 Å (Cu Kα). Structure: DFT lattice parameters and positions (PBE).
Neutral-atom scattering factors, no anomalous dispersion.

Top 10 peaks for 10° ≤ 2θ ≤ 80°, low angle first:
2θ = 36.2°, I = 75
2θ = 40.8°, I = 61
2θ = 42.0°, I = 28
2θ = 42.6°, I = 100
2θ = 46.1°, I = 41
2θ = 65.1°, I = 14
2θ = 68.2°, I = 14
2θ = 69.5°, I = 47
2θ = 72.9°, I = 13
2θ = 76.8°, I = 22

Structural model:
a b c (Å): 4.9627 4.9627 4.8866
angles (deg): 90.00 90.00 120.00
Space group P6/mmm (No. 191)
One atom of each set of equivalent atoms:
1 Tc 0.0000 0.5000 0.0000 (multiplicity 3)
2 Os 0.0000 0.0000 0.2555 (multiplicity 2)
3 Os 0.3333 0.6667 0.5000 (multiplicity 2)

(5)
This entry pairs a crystal structure of Tc13Os2 with its simulated powder XRD pattern. Radiation: λ = 1.5418 Å (Cu Kα). Structure: DFT lattice parameters and positions (PBE).
Neutral-atom scattering factors, no anomalous dispersion.

Top 10 peaks for 10° ≤ 2θ ≤ 80°, low angle first:
2θ = 18.7°, I = 16
2θ = 34.7°, I = 22
2θ = 40.8°, I = 33
2θ = 41.1°, I = 83
2θ = 41.2°, I = 49
2θ = 41.5°, I = 72
2θ = 42.4°, I = 100
2θ = 42.5°, I = 55
2θ = 43.4°, I = 49
2θ = 63.5°, I = 16

Structural model:
a b c (Å): 5.2834 5.2884 9.0243
angles (deg): 75.96 84.49 67.33
Space group P-1 (No. 2)
One atom of each set of equivalent atoms:
1 Tc 0.0000 0.0000 0.0000 (multiplicity 1)
2 Tc 0.0984 0.6894 0.3377 (multiplicity 2)
3 Tc 0.1268 0.1628 0.4035 (multiplicity 2)
4 Tc 0.3621 0.8178 0.6636 (multiplicity 2)
5 Tc 0.3919 0.3328 0.6012 (multiplicity 2)
6 Tc 0.4001 0.0924 0.1272 (multiplicity 2)
7 Tc 0.4129 0.5930 0.1185 (multiplicity 2)
8 Os 0.0830 0.4969 0.8618 (multiplicity 2)

(6)
This entry pairs a crystal structure of U6TcOs with its simulated powder XRD pattern. Radiation: λ = 1.5418 Å (Cu Kα). Structure: DFT lattice parameters and positions (PBE).
Neutral-atom scattering factors, no anomalous dispersion.

Top 10 peaks for 10° ≤ 2θ ≤ 80°, low angle first:
2θ = 19.4°, I = 35
2θ = 23.9°, I = 71
2θ = 30.1°, I = 87
2θ = 32.6°, I = 79
2θ = 36.7°, I = 57
2θ = 36.8°, I = 32
2θ = 37.0°, I = 100
2θ = 39.5°, I = 83
2θ = 46.3°, I = 54
2θ = 56.6°, I = 32

Structural model:
a b c (Å): 7.4926 6.5066 7.9306
angles (deg): 90.00 112.67 90.00
Space group C2/m (No. 12)
One atom of each set of equivalent atoms:
1 U 0.1149 0.2384 0.3120 (multiplicity 8)
2 U 0.1825 0.0000 0.0841 (multiplicity 4)
3 Tc 0.0000 0.5000 0.5000 (multiplicity 2)
4 Os 0.0000 0.5000 0.0000 (multiplicity 2)

Question: Number 6 is which compound?
Answer: U6TcOs